Computed X-ray powder pattern
Compound: Ac3Tm2Sn3
Radiation: Cu Ka
Structure: a cell relaxed with GGA-PBE
Peak positions follow from Bragg's law for the DFT cell and can differ from measured ones.

Structural model:
```
data_Ac3Tm2Sn3
_cell_length_a 9.5437
_cell_length_b 9.5437
_cell_length_c 6.8010
_cell_angle_alpha 90.00
_cell_angle_beta 90.00
_cell_angle_gamma 120.00
_space_group_name_H-M_alt 'P 63/m c m'
_space_group_IT_number 193
_space_group_name_Hall '-P 6c 2'
loop_
_atom_site_label
_atom_site_type_symbol
_atom_site_fract_x
_atom_site_fract_y
_atom_site_fract_z
Ac1 Ac 0.0000 0.2478 0.2500
Tm1 Tm 0.3333 0.6667 0.0000
Sn1 Sn 0.0000 0.4013 0.7500
```

Most intense lines, 2θ from 10° to 90°, low angle first:
2θ (°)  I/Imax
26.2  17.0
28.4  17.9
28.6  30.6
31.5  100.0
32.3  63.7
32.5  33.2
46.5  15.4
49.7  28.9
49.9  14.3
51.8  19.9


Computed X-ray powder pattern
Compound: Ac7TmSn4
Radiation: Cu Ka
Structure: a cell relaxed with GGA-PBE
Peak positions follow from Bragg's law for the DFT cell and can differ from measured ones.

Structural model:
```
data_Ac7TmSn4
_cell_length_a 15.625
_cell_length_b 6.212
_cell_length_c 11.588
_cell_angle_alpha 90.00
_cell_angle_beta 125.22
_cell_angle_gamma 90.00
_space_group_name_H-M_alt 'C 1 2/m 1'
_space_group_IT_number 12
loop_
_space_group_symop_operation_xyz
'x,y,z'
'-x,-y,-z'
'-x,y,-z'
'x,-y,z'
'x+1/2,y+1/2,z'
'-x+1/2,-y+1/2,-z'
'-x+1/2,y+1/2,-z'
'x+1/2,-y+1/2,z'
loop_
_atom_site_label
_atom_site_type_symbol
_atom_site_fract_x
_atom_site_fract_y
_atom_site_fract_z
Ac1 Ac 0.000 0.000 0.000
Ac2 Ac 0.062 0.500 0.376
Ac3 Ac 0.202 0.000 0.638
Ac4 Ac 0.208 0.500 0.892
Tm1 Tm 0.000 0.500 0.000
Sn1 Sn 0.060 0.000 0.757
Sn2 Sn 0.193 0.000 0.332
```

Most intense lines, 2θ from 10° to 90°, low angle first:
2θ (°)  I/Imax
21.3  23.5
23.7  23.7
25.8  66.8
27.6  91.6
28.3  25.5
28.7  100.0
31.1  60.8
33.1  29.0
33.9  47.3
39.0  46.0


Computed X-ray powder pattern
Compound: AcTmSn6
Radiation: Cu Ka
Structure: a cell relaxed with GGA-PBE
Peak positions follow from Bragg's law for the DFT cell and can differ from measured ones.

Structural model:
```
data_AcTmSn6
_cell_length_a 4.898
_cell_length_b 4.898
_cell_length_c 9.267
_cell_angle_alpha 90.00
_cell_angle_beta 90.00
_cell_angle_gamma 90.00
_space_group_name_H-M_alt 'P 4/m m m'
_space_group_IT_number 123
_space_group_name_Hall '-P 4 2'
loop_
_atom_site_label
_atom_site_type_symbol
_atom_site_fract_x
_atom_site_fract_y
_atom_site_fract_z
Ac1 Ac 0.000 0.000 0.000
Tm1 Tm 0.000 0.000 0.500
Sn1 Sn 0.000 0.500 0.265
Sn2 Sn 0.500 0.500 0.000
Sn3 Sn 0.500 0.500 0.500
```

Most intense lines, 2θ from 10° to 90°, low angle first:
2θ (°)  I/Imax
32.3  100.0
36.7  36.2
38.9  14.6
52.9  13.0
54.5  22.3
63.3  30.2
66.3  11.7
67.5  12.0
87.0  6.8
89.6  11.4


Computed X-ray powder pattern
Compound: AcY3Sn3
Radiation: Cu Ka
Structure: a cell relaxed with GGA-PBE
Peak positions follow from Bragg's law for the DFT cell and can differ from measured ones.

Structural model:
```
data_AcY3Sn3
_cell_length_a 9.4567
_cell_length_b 9.4567
_cell_length_c 5.4792
_cell_angle_alpha 90.00
_cell_angle_beta 90.00
_cell_angle_gamma 120.00
_space_group_name_H-M_alt 'P 63/m'
_space_group_IT_number 176
_space_group_name_Hall '-P 6c'
loop_
_atom_site_label
_atom_site_type_symbol
_atom_site_fract_x
_atom_site_fract_y
_atom_site_fract_z
Ac1 Ac 0.3333 0.6667 0.2500
Y1 Y 0.9997 0.2382 0.2500
Sn1 Sn 0.0710 0.4406 0.7500
```

Most intense lines, 2θ from 10° to 90°, low angle first:
2θ (°)  I/Imax
10.8  11.5
27.2  22.6
28.8  23.2
32.7  28.4
32.8  13.3
33.2  100.0
44.1  14.7
51.1  16.2
58.7  19.9
62.0  17.9


Computed X-ray powder pattern
Compound: Ac6ZnSn2
Radiation: Cu Ka
Structure: a cell relaxed with GGA-PBE
Peak positions follow from Bragg's law for the DFT cell and can differ from measured ones.

Structural model:
```
data_Ac6ZnSn2
_cell_length_a 5.570
_cell_length_b 7.911
_cell_length_c 16.509
_cell_angle_alpha 90.00
_cell_angle_beta 90.00
_cell_angle_gamma 90.00
_space_group_name_H-M_alt 'I m m m'
_space_group_IT_number 71
_space_group_name_Hall '-I 2 2'
loop_
_atom_site_label
_atom_site_type_symbol
_atom_site_fract_x
_atom_site_fract_y
_atom_site_fract_z
Ac1 Ac 0.000 0.232 0.000
Ac2 Ac 0.000 0.255 0.338
Zn1 Zn 0.000 0.500 0.500
Sn1 Sn 0.000 0.500 0.165
```

Most intense lines, 2θ from 10° to 90°, low angle first:
2θ (°)  I/Imax
22.5  18.1
22.7  36.0
32.2  100.0
32.5  19.4
39.6  8.6
39.9  8.2
46.4  14.8
57.3  23.4
57.8  15.0
67.3  11.9


Computed X-ray powder pattern
Compound: Ac2ZnSn
Radiation: Cu Ka
Structure: a cell relaxed with GGA-PBE
Peak positions follow from Bragg's law for the DFT cell and can differ from measured ones.

Structural model:
```
data_Ac2ZnSn
_cell_length_a 6.606
_cell_length_b 4.517
_cell_length_c 9.479
_cell_angle_alpha 90.00
_cell_angle_beta 109.29
_cell_angle_gamma 90.00
_space_group_name_H-M_alt 'P 1 21/m 1'
_space_group_IT_number 11
loop_
_space_group_symop_operation_xyz
'x,y,z'
'-x,-y,-z'
'-x,y+1/2,-z'
'x,-y+1/2,z'
loop_
_atom_site_label
_atom_site_type_symbol
_atom_site_fract_x
_atom_site_fract_y
_atom_site_fract_z
Ac1 Ac 0.195 0.250 0.414
Ac2 Ac 0.277 0.750 0.056
Zn1 Zn 0.162 0.250 0.782
Sn1 Sn 0.369 0.750 0.708
```

Most intense lines, 2θ from 10° to 90°, low angle first:
2θ (°)  I/Imax
24.4  31.1
28.1  100.0
28.6  46.8
29.0  27.4
35.0  50.4
35.3  18.5
37.5  24.4
39.9  22.6
49.8  20.9
55.6  15.9